Record 1
Diffraction record for Ce5Sn3. The X-ray powder pattern is computed, not measured: it uses a cell relaxed with GGA-PBE and Cu Kα (λ = 1.5418 Å).
No peak broadening, texture or thermal motion is included.

Top 12 peaks for 15° ≤ 2θ ≤ 90°, by angle:
2θ (°)	I_rel	index
27.48	7	1 3 0
31.76	49	0 0 2
33.07	26	0 4 0
33.35	100	2 2 1
40.78	6	3 1 1
46.50	20	0 4 2
49.24	5	4 0 0
56.55	6	3 5 0
57.58	21	2 2 3
59.24	11	2 6 1
59.79	6	4 0 2
66.31	9	0 0 4

Cell and atoms:
a b c (Å): 7.4014 10.8360 5.6371
angles (deg): 90.00 90.00 90.00
Space group Cmmm (No. 65)
Asymmetric unit:
Ce  0.0000  0.0000  0.0000
Ce  0.1836  0.5000  0.5000
Ce  0.2500  0.2500  0.0000
Sn  0.0000  0.2077  0.5000
Sn  0.0000  0.5000  0.0000


Record 2
Diffraction record for BeAs. The X-ray powder pattern is computed, not measured: it uses a cell relaxed with GGA-PBE and Cu Kα (λ = 1.5418 Å).
No peak broadening, texture or thermal motion is included.

Top 12 peaks for 15° ≤ 2θ ≤ 90°, by angle:
2θ (°)	I_rel	index
26.44	45	0 2 0
32.31	100	1 1 1
36.96	22	0 0 2
46.01	19	0 2 2
46.68	13	2 0 0
50.50	33	1 3 1
54.44	16	2 2 0
60.97	11	2 0 2
63.68	14	1 1 3
67.62	17	2 2 2
76.45	10	1 3 3
77.44	16	3 1 1

Cell and atoms:
a b c (Å): 3.8917 6.7430 4.8648
angles (deg): 90.00 90.00 90.00
Space group Cmcm (No. 63)
Asymmetric unit:
Be  0.0000  0.0946  0.2500
As  0.0000  0.2367  0.7500


Record 3
Diffraction record for Na4Pd3RhO8. The X-ray powder pattern is computed, not measured: it uses a cell relaxed with GGA-PBE and Cu Kα (λ = 1.5418 Å).
No peak broadening, texture or thermal motion is included.

Top 12 peaks for 15° ≤ 2θ ≤ 90°, by angle:
2θ (°)	I_rel	index
17.42	100	2 0 -1
27.93	24	2 0 1
32.71	25	0 0 2
33.50	44	4 0 0
33.57	25	0 2 1
33.76	46	2 2 0
35.27	25	4 0 -2
41.99	56	2 2 -2
42.46	12	4 2 -1
52.97	24	2 2 2
56.48	17	6 2 -2
60.05	14	6 2 0

Cell and atoms:
a b c (Å): 11.8831 6.1152 6.0797
angles (deg): 90.00 115.77 90.00
Space group C2/m (No. 12)
Asymmetric unit:
Na  0.0000  0.0000  0.0000
Na  0.0000  0.5000  0.0000
Na  0.2500  0.2500  0.5000
Pd  0.0000  0.0000  0.5000
Pd  0.2500  0.2500  0.0000
Rh  0.0000  0.5000  0.5000
O  0.0353  0.2507  0.3174
O  0.1854  0.5000  0.7475
O  0.1909  0.0000  0.7503


Record 4
Diffraction record for KBe2Bi2O6. The X-ray powder pattern is computed, not measured: it uses a cell relaxed with GGA-PBE and Cu Kα (λ = 1.5418 Å).
No peak broadening, texture or thermal motion is included.

Top 12 peaks for 15° ≤ 2θ ≤ 90°, by angle:
2θ (°)	I_rel	index
18.62	100	1 -1 0
19.36	40	1 0 0
19.58	26	0 1 -1
21.84	31	-1 1 1
27.18	48	1 1 -1
27.94	32	0 1 1
28.59	43	1 0 -2
31.98	42	1 0 1
33.07	33	0 2 -1
34.25	29	2 -1 0
35.52	25	-1 2 1
36.11	25	-2 1 2

Cell and atoms:
a b c (Å): 5.8812 5.9436 6.2846
angles (deg): 95.99 116.87 112.56
Space group P-1 (No. 2)
Asymmetric unit:
K  0.0000  0.0000  0.0000
Be  0.2631  0.7122  0.7156
Bi  0.3782  0.3048  0.6795
O  0.1084  0.8759  0.6571
O  0.2503  0.5323  0.8829
O  0.4560  0.6891  0.6139


Record 5
Diffraction record for LiTl4Pb4. The X-ray powder pattern is computed, not measured: it uses a cell relaxed with GGA-PBE and Cu Kα (λ = 1.5418 Å).
No peak broadening, texture or thermal motion is included.

Top 12 peaks for 15° ≤ 2θ ≤ 90°, by angle:
2θ (°)	I_rel	index
29.31	11	4 0 0
29.77	22	2 1 1
31.14	45	3 3 0
32.87	29	2 4 0
33.28	100	3 0 1
44.61	10	6 0 0
44.93	10	3 4 1
54.56	20	4 5 1
56.78	13	6 3 1
60.80	14	3 3 2
61.06	17	7 2 1
84.27	11	3 0 3

Cell and atoms:
a b c (Å): 12.1868 12.1868 3.5944
angles (deg): 90.00 90.00 90.00
Space group I4/m (No. 87)
Asymmetric unit:
Li  0.0000  0.0000  0.0000
Tl  0.1364  0.8290  0.5000
Pb  0.0424  0.3367  0.0000


Record 6
Diffraction record for ZrScI2O. The X-ray powder pattern is computed, not measured: it uses a cell relaxed with GGA-PBE and Cu Kα (λ = 1.5418 Å).
No peak broadening, texture or thermal motion is included.

Top 12 peaks for 15° ≤ 2θ ≤ 90°, by angle:
2θ (°)	I_rel	index
23.34	19	0 0 1
27.87	21	1 0 1
30.32	94	2 0 0
31.81	100	1 1 1
38.61	20	2 0 1
41.65	14	2 1 1
43.41	34	2 2 0
47.73	13	0 0 2
54.81	41	3 1 1
57.60	29	2 0 2
66.47	18	2 2 2
71.56	15	4 2 0

Cell and atoms:
a b c (Å): 5.8965 5.8965 3.8111
angles (deg): 90.00 90.00 90.00
Space group P4/mmm (No. 123)
Asymmetric unit:
Zr  0.0000  0.0000  0.0000
Sc  0.5000  0.5000  0.5000
I  0.0000  0.5000  0.5000
O  0.5000  0.5000  0.0000